This entry pairs a crystal structure of MgAgSb with its simulated X-ray powder pattern. Radiation: copper Kα. Structure: a crystal structure in the Materials Project, relaxed with GGA-PBE.
Lines closer than 0.1° are merged.

Peak list (12 most intense, 2θ from 10° to 90°, sorted by position)
(hkl)	2theta	I_rel
0 0 1	12.9	41
1 0 1	23.8	53
1 1 1	31.2	62
1 1 2	38.8	100
0 0 3	39.3	16
2 0 0	40.5	49
2 1 1	47.5	16
2 0 3	57.7	19
2 2 0	58.6	16
2 0 4	69.0	12
3 1 2	72.5	30
1 1 5	75.4	12

Structure:
abc: 4.457 4.457 6.874
angles: 90.00 90.00 90.00
Positions (direct):
1 Mg 0.250 0.250 0.200
2 Mg 0.750 0.750 0.800
3 Ag 0.250 0.750 0.500
4 Ag 0.750 0.250 0.500
5 Sb 0.250 0.250 0.780
6 Sb 0.750 0.750 0.220